No. 1
Diffraction record for CaClF. The powder diffraction line list is calculated, not measured: it uses a GGA-PBE-relaxed structure and Cu Kα (weighted mean of Kα1 and Kα2).
No peak broadening, texture or thermal motion is included.

Most intense lines, 10° ≤ 2θ ≤ 90°, in order of rising 2θ:
hkl  d_spacing  2θ/deg  I (rel.)
1 1 0  2.768  32.34  54
1 0 2  2.594  34.58  100
1 1 1  2.570  34.91  19
1 1 2  2.162  41.78  54
1 0 3  1.989  45.62  14
2 0 0  1.957  46.39  49
1 0 4  1.583  58.27  17
2 1 2  1.562  59.14  35
2 2 0  1.384  67.69  17
2 1 4  1.231  77.55  14

Structure:
```
data_CaClF
_space_group_name_H-M_alt 'P 4/n m m'
_space_group_IT_number 129
_cell_length_a 3.914
_cell_length_b 3.914
_cell_length_c 6.926
_cell_angle_alpha 90.00
_cell_angle_beta 90.00
_cell_angle_gamma 90.00
loop_
_space_group_symop_operation_xyz
'x,y,z'
'-x,-y,-z'
'-y+1/2,x,z'
'y+1/2,-x,-z'
'-x+1/2,-y+1/2,z'
'x+1/2,y+1/2,-z'
'y,-x+1/2,z'
'-y,x+1/2,-z'
'x+1/2,-y,-z'
'-x+1/2,y,z'
'-y,-x,-z'
'y,x,z'
'-x,y+1/2,-z'
'x,-y+1/2,z'
'y+1/2,x+1/2,-z'
'-y+1/2,-x+1/2,z'
loop_
_atom_site_label
_atom_site_type_symbol
_atom_site_fract_x
_atom_site_fract_y
_atom_site_fract_z
Ca1 Ca 0.250 0.250 0.194
Cl1 Cl 0.250 0.250 0.645
F1 F 0.250 0.750 0.000
```

No. 2
Diffraction record for Ca2Cl2F. The powder diffraction line list is calculated, not measured: it uses a GGA-PBE-relaxed structure and Cu Kα (weighted mean of Kα1 and Kα2).
No peak broadening, texture or thermal motion is included.

Most intense lines, 10° ≤ 2θ ≤ 90°, in order of rising 2θ:
hkl  d_spacing  2θ/deg  I (rel.)
1 0 0  5.212  17.01  100
1 1 0  3.686  24.15  41
1 0 4  2.699  33.19  7
2 0 0  2.606  34.41  15
2 1 0  2.331  38.63  21
1 0 5  2.272  39.68  6
1 0 6  1.951  46.56  7
1 1 6  1.827  49.92  6
3 1 0  1.648  55.77  6
2 1 6  1.562  59.17  6

Structure:
```
data_Ca2Cl2F
_space_group_name_H-M_alt 'P 4/m m m'
_space_group_IT_number 123
_space_group_name_Hall '-P 4 2'
_cell_length_a 5.212
_cell_length_b 5.212
_cell_length_c 12.620
_cell_angle_alpha 90.00
_cell_angle_beta 90.00
_cell_angle_gamma 90.00
loop_
_atom_site_label
_atom_site_type_symbol
_atom_site_fract_x
_atom_site_fract_y
_atom_site_fract_z
Ca1 Ca 0.000 0.000 0.171
Cl1 Cl 0.000 0.000 0.361
F1 F 0.000 0.000 0.000
```

No. 3
Diffraction record for Ca2GaClO8. The powder diffraction line list is calculated, not measured: it uses a GGA-PBE-relaxed structure and Cu Kα (weighted mean of Kα1 and Kα2).
No peak broadening, texture or thermal motion is included.

Most intense lines, 10° ≤ 2θ ≤ 90°, in order of rising 2θ:
hkl  d_spacing  2θ/deg  I (rel.)
0 0 3  6.267  14.13  100
0 1 2  4.667  19.01  12
1 0 4  3.539  25.16  38
0 0 6  3.134  28.48  29
1 1 0  3.104  28.76  75
2 -1 3  2.782  32.18  17
0 2 4  2.334  38.58  14
2 -1 6  2.205  40.92  65
3 0 0  1.792  50.95  33
0 3 6  1.556  59.41  18

Structure:
```
data_Ca2GaClO8
_space_group_name_H-M_alt 'R -3'
_space_group_IT_number 148
_space_group_name_Hall '-R 3'
_cell_length_a 6.2086
_cell_length_b 6.2086
_cell_length_c 18.8022
_cell_angle_alpha 90.00
_cell_angle_beta 90.00
_cell_angle_gamma 120.00
loop_
_atom_site_label
_atom_site_type_symbol
_atom_site_fract_x
_atom_site_fract_y
_atom_site_fract_z
Ca1 Ca 0.0000 0.0000 0.1920
Ga1 Ga 0.0000 0.0000 0.5000
Cl1 Cl 0.0000 0.0000 0.0000
O1 O 0.0000 0.0000 0.3234
O2 O 0.0234 0.3967 0.2071
```

No. 4
Diffraction record for Ca2LaGeS4Cl3. The powder diffraction line list is calculated, not measured: it uses a GGA-PBE-relaxed structure and Cu Kα (weighted mean of Kα1 and Kα2).
No peak broadening, texture or thermal motion is included.

Most intense lines, 10° ≤ 2θ ≤ 90°, in order of rising 2θ:
hkl  d_spacing  2θ/deg  I (rel.)
0 2 0  8.598  10.29  59
1 1 1  5.090  17.42  41
2 2 0  4.203  21.14  56
0 4 1  3.568  24.96  76
2 2 1  3.512  25.36  100
1 1 2  2.991  29.87  52
2 4 1  2.867  31.19  67
3 3 1  2.566  34.96  74
2 2 2  2.545  35.27  65
2 6 0  2.463  36.48  71

Structure:
```
data_Ca2LaGeS4Cl3
_space_group_name_H-M_alt 'C m c 21'
_space_group_IT_number 36
_space_group_name_Hall 'C 2c -2'
_cell_length_a 9.636
_cell_length_b 17.195
_cell_length_c 6.396
_cell_angle_alpha 90.00
_cell_angle_beta 90.00
_cell_angle_gamma 90.00
loop_
_atom_site_label
_atom_site_type_symbol
_atom_site_fract_x
_atom_site_fract_y
_atom_site_fract_z
Ca1 Ca 0.216 0.090 0.000
La1 La 0.000 0.312 0.000
Ge1 Ge 0.000 0.164 0.425
S1 S 0.000 0.046 0.283
S2 S 0.000 0.166 0.778
S3 S 0.185 0.225 0.284
Cl1 Cl 0.000 0.378 0.592
Cl2 Cl 0.184 0.439 0.101
```

No. 5
Diffraction record for CaHCl. The powder diffraction line list is calculated, not measured: it uses a GGA-PBE-relaxed structure and Cu Kα (weighted mean of Kα1 and Kα2).
No peak broadening, texture or thermal motion is included.

Most intense lines, 10° ≤ 2θ ≤ 90°, in order of rising 2θ:
hkl  d_spacing  2θ/deg  I (rel.)
0 0 2  3.467  25.69  27
1 1 0  2.713  33.02  90
1 0 2  2.572  34.88  100
1 1 2  2.137  42.30  29
2 0 0  1.918  47.39  31
2 0 2  1.679  54.68  11
1 0 4  1.580  58.42  21
2 1 2  1.538  60.17  34
2 1 4  1.220  78.42  17
3 1 0  1.213  78.90  11

Structure:
```
data_CaHCl
_space_group_name_H-M_alt 'P 4/n m m'
_space_group_IT_number 129
_cell_length_a 3.837
_cell_length_b 3.837
_cell_length_c 6.934
_cell_angle_alpha 90.00
_cell_angle_beta 90.00
_cell_angle_gamma 90.00
loop_
_space_group_symop_operation_xyz
'x,y,z'
'-x,-y,-z'
'-y+1/2,x,z'
'y+1/2,-x,-z'
'-x+1/2,-y+1/2,z'
'x+1/2,y+1/2,-z'
'y,-x+1/2,z'
'-y,x+1/2,-z'
'x+1/2,-y,-z'
'-x+1/2,y,z'
'-y,-x,-z'
'y,x,z'
'-x,y+1/2,-z'
'x,-y+1/2,z'
'y+1/2,x+1/2,-z'
'-y+1/2,-x+1/2,z'
loop_
_atom_site_label
_atom_site_type_symbol
_atom_site_fract_x
_atom_site_fract_y
_atom_site_fract_z
Ca1 Ca 0.250 0.250 0.191
H1 H 0.250 0.750 0.000
Cl1 Cl 0.250 0.250 0.654
```

No. 6
Diffraction record for Ca7H12Cl2. The powder diffraction line list is calculated, not measured: it uses a GGA-PBE-relaxed structure and Cu Kα (weighted mean of Kα1 and Kα2).
No peak broadening, texture or thermal motion is included.

Most intense lines, 10° ≤ 2θ ≤ 90°, in order of rising 2θ:
hkl  d_spacing  2θ/deg  I (rel.)
2 1 0  3.053  29.26  100
1 1 1  2.891  30.94  67
2 0 1  2.721  32.91  85
3 0 0  2.692  33.28  29
1 2 1  2.350  38.29  53
1 3 1  1.914  47.51  18
1 4 0  1.762  51.88  30
3 2 1  1.655  55.52  35
2 1 2  1.577  58.53  24
1 4 2  1.273  74.52  18

Structure:
```
data_Ca7H12Cl2
_space_group_name_H-M_alt 'P -6'
_space_group_IT_number 174
_space_group_name_Hall 'P -6'
_cell_length_a 9.3261
_cell_length_b 9.3261
_cell_length_c 3.6836
_cell_angle_alpha 90.00
_cell_angle_beta 90.00
_cell_angle_gamma 120.00
loop_
_atom_site_label
_atom_site_type_symbol
_atom_site_fract_x
_atom_site_fract_y
_atom_site_fract_z
Ca1 Ca 0.0000 0.0000 0.0000
Ca2 Ca 0.1144 0.7181 0.5000
Ca3 Ca 0.4104 0.1051 0.0000
H1 H 0.0482 0.4388 0.5000
H2 H 0.1183 0.2755 0.0000
H3 H 0.2149 0.1124 0.5000
H4 H 0.4232 0.3646 0.0000
Cl1 Cl 0.3333 0.6667 0.0000
Cl2 Cl 0.6667 0.3333 0.5000
```

No. 7
Diffraction record for CaHClO. The powder diffraction line list is calculated, not measured: it uses a GGA-PBE-relaxed structure and Cu Kα (weighted mean of Kα1 and Kα2).
No peak broadening, texture or thermal motion is included.

Most intense lines, 10° ≤ 2θ ≤ 90°, in order of rising 2θ:
hkl  d_spacing  2θ/deg  I (rel.)
0 0 2  4.947  17.93  28
1 0 0  3.376  26.40  13
1 0 1  3.195  27.93  77
1 0 2  2.788  32.10  28
0 0 4  2.473  36.32  17
1 0 3  2.359  38.15  100
1 1 0  1.949  46.60  53
1 1 4  1.531  60.47  19
2 0 3  1.503  61.74  21
2 1 3  1.190  80.76  18

Structure:
```
data_CaHClO
_space_group_name_H-M_alt 'P 63 m c'
_space_group_IT_number 186
_space_group_name_Hall 'P 6c -2c'
_cell_length_a 3.8981
_cell_length_b 3.8981
_cell_length_c 9.8935
_cell_angle_alpha 90.00
_cell_angle_beta 90.00
_cell_angle_gamma 120.00
loop_
_atom_site_label
_atom_site_type_symbol
_atom_site_fract_x
_atom_site_fract_y
_atom_site_fract_z
Ca1 Ca 0.3333 0.6667 0.0000
H1 H 0.0000 0.0000 0.1656
Cl1 Cl 0.3333 0.6667 0.3167
O1 O 0.0000 0.0000 0.0672
```